# LaGe2O6
Simulated powder diffractogram, copper Kα. Input: a cell relaxed with GGA-PBE.
Intensities are scaled so that the largest is 100.

Largest 8 diffraction maxima, sorted by position, 2θ = 10–90°:
(hkl)  d (Å)  2theta  intensity
1 1 0  7.435  11.9  67.5
0 2 0  4.980  17.8  29.4
1 1 -1  4.844  18.3  92.9
3 1 0  3.489  25.5  47.6
2 2 -1  3.341  26.7  100.0
2 2 1  2.902  30.8  59.1
1 1 2  2.500  35.9  30.5
0 4 1  2.275  39.6  27.9

Atomic structure:
Cell: 11.478 9.959 5.758 Å, 90.00 103.20 90.00°
Space group C2/c (No. 15)
Unique sites:
La (0.000, 0.131, 0.250) [4 per cell]
Ge (0.229, 0.431, 0.309) [8 per cell]
O (0.115, 0.045, 0.621) [8 per cell]
O (0.160, 0.481, 0.012) [8 per cell]
O (0.186, 0.259, 0.314) [8 per cell]